For Pr2Nd2SmDy, a structure optimized by DFT (GGA-PBE) gives the computed powder XRD pattern in this record (Cu Kα (λ = 1.5418 Å)).
No peak broadening, texture or thermal motion is included.

Atomic structure:
Cell lengths 7.1313, 5.7904, 10.0044 Å; angles 90.00, 90.00, 90.00 degrees
Fractional coordinates of all 12 atoms:
Pr1 0.0000 0.0000 0.0000
Pr2 0.2500 0.5000 0.1738
Pr3 0.5000 0.0000 0.0000
Pr4 0.7500 0.5000 0.8262
Nd1 0.2500 0.0000 0.3328
Nd2 0.2500 0.5000 0.8343
Nd3 0.7500 0.0000 0.6672
Nd4 0.7500 0.5000 0.1657
Sm1 0.2500 0.0000 0.6611
Sm2 0.7500 0.0000 0.3389
Dy1 0.0000 0.5000 0.5000
Dy2 0.5000 0.5000 0.5000

The 8 most intense peaks (10 to 90 degrees two-theta), by angle:
| h k l | d/Å | 2θ/deg | I (rel.) |
| --- | --- | --- | --- |
| 2 0 2 | 2.905 | 30.78 | 91 |
| 0 2 0 | 2.892 | 30.92 | 100 |
| 2 2 2 | 2.049 | 44.20 | 34 |
| 2 1 5 | 1.672 | 54.91 | 36 |
| 0 3 3 | 1.671 | 54.97 | 13 |
| 4 2 0 | 1.518 | 61.06 | 29 |
| 2 4 2 | 1.295 | 73.07 | 10 |
| 4 3 3 | 1.219 | 78.49 | 14 |